The following is a theoretical powder diffraction line list of Rb3DyS3. It was derived from a structure optimized by DFT (GGA-PBE), using CuKα.

Largest 10 diffraction maxima, in order of falling intensity, 2θ from 5° to 70°:
(2 2 0), 3.811 Å, I = 100
(1 1 -1), 6.004 Å, I = 76
(2 2 1), 3.264 Å, I = 63
(1 3 2), 2.801 Å, I = 57
(3 1 -1), 2.931 Å, I = 54
(0 4 0), 3.562 Å, I = 44
(0 2 2), 3.514 Å, I = 36
(1 3 1), 3.610 Å, I = 35
(0 2 0), 7.124 Å, I = 33
(1 3 -1), 3.859 Å, I = 32

Structural model:
Cell lengths 9.165, 14.247, 8.205 Å; angles 90.00, 100.04, 90.00 degrees
Space group C2/m (No. 12)
Inequivalent atoms, fractional coordinates:
Rb1 0.000 0.184 0.000 [4 per cell]
Rb2 0.000 0.251 0.500 [4 per cell]
Rb3 0.120 0.500 0.864 [4 per cell]
Dy1 0.180 0.000 0.641 [4 per cell]
S1 0.097 0.000 0.314 [4 per cell]
S2 0.188 0.353 0.228 [8 per cell]